Entry 1:
Diffraction record for TmMnAgCl6. The X-ray powder pattern is computed, not measured: it uses DFT lattice parameters and positions (PBE) and a wavelength of 1.5418 Å.

Top 8 peaks for 5 to 70 degrees two-theta, in order of rising 2θ:
hkl 1 0 1, 17.55°, intensity 20
hkl 1 0 2, 21.62°, intensity 100
hkl 1 1 0, 27.85°, intensity 27
hkl 1 1 2, 31.52°, intensity 32
hkl 2 0 2, 35.53°, intensity 27
hkl 1 1 4, 40.78°, intensity 70
hkl 2 1 2, 45.73°, intensity 27
hkl 3 0 0, 49.27°, intensity 28

Structural model:
```
data_TmMnAgCl6
_chemical_formula_sum 'Tm2 Mn2 Ag2 Cl12'
_symmetry_space_group_name_H-M 'P -3 1 c'
_symmetry_Int_Tables_number 163
_symmetry_space_group_name_Hall '-P 3 2c'
_cell_length_a 6.4072
_cell_length_b 6.4072
_cell_length_c 12.2383
_cell_angle_alpha 90.00
_cell_angle_beta 90.00
_cell_angle_gamma 120.00
loop_
_atom_site_label
_atom_site_fract_x
_atom_site_fract_y
_atom_site_fract_z
Tm1 0.3333 0.6667 0.2500
Mn1 0.3333 0.6667 0.7500
Ag1 0.0000 0.0000 0.0000
Cl1 0.0248 0.3656 0.6349
```

Entry 2:
Diffraction record for Li4ZrO4. The X-ray powder pattern is computed, not measured: it uses DFT lattice parameters and positions (PBE) and a wavelength of 1.5418 Å.

Top 8 peaks for 5 to 70 degrees two-theta, in order of rising 2θ:
hkl 1 1 0, 15.97°, intensity 42
hkl 1 1 1, 21.10°, intensity 100
hkl 2 0 0, 21.41°, intensity 43
hkl 0 2 1, 27.60°, intensity 72
hkl 1 1 2, 32.04°, intensity 44
hkl 2 2 0, 32.26°, intensity 30
hkl 2 2 1, 35.20°, intensity 41
hkl 3 1 1, 37.35°, intensity 31

Structural model:
```
data_Li4ZrO4
_chemical_formula_sum 'Li16 Zr4 O16'
_symmetry_space_group_name_H-M 'C m c m'
_symmetry_Int_Tables_number 63
_symmetry_space_group_name_Hall '-C 2c 2'
_cell_length_a 8.2994
_cell_length_b 7.4634
_cell_length_c 6.4652
_cell_angle_alpha 90.00
_cell_angle_beta 90.00
_cell_angle_gamma 90.00
loop_
_atom_site_label
_atom_site_fract_x
_atom_site_fract_y
_atom_site_fract_z
Li1 0.1426 0.2424 0.2500
Li2 0.1564 0.5000 0.0000
Zr1 0.0000 0.1535 0.7500
O1 0.0000 0.2975 0.0101
O2 0.2089 0.0179 0.7500
```

Entry 3:
Diffraction record for RbBeTlF6. The X-ray powder pattern is computed, not measured: it uses DFT lattice parameters and positions (PBE) and a wavelength of 1.5418 Å.

Top 8 peaks for 5 to 70 degrees two-theta, in order of rising 2θ:
hkl 0 0 1, 14.68°, intensity 26
hkl 1 0 0, 18.98°, intensity 29
hkl 1 0 1, 24.08°, intensity 100
hkl 1 1 0, 33.19°, intensity 21
hkl 2 0 1, 41.42°, intensity 24
hkl 2 -1 2, 45.07°, intensity 31
hkl 1 0 3, 49.32°, intensity 21
hkl 2 1 1, 54.08°, intensity 24

Structural model:
```
data_RbBeTlF6
_chemical_formula_sum 'Rb1 Be1 Tl1 F6'
_symmetry_space_group_name_H-M 'P 3 1 2'
_symmetry_Int_Tables_number 149
_cell_length_a 5.3985
_cell_length_b 5.3985
_cell_length_c 6.0338
_cell_angle_alpha 90.00
_cell_angle_beta 90.00
_cell_angle_gamma 120.00
loop_
_symmetry_equiv_pos_as_xyz
'x,y,z'
'-y,x-y,z'
'-x+y,-x,z'
'-y,-x,-z'
'-x+y,y,-z'
'x,x-y,-z'
loop_
_atom_site_label
_atom_site_fract_x
_atom_site_fract_y
_atom_site_fract_z
Rb1 0.0000 0.0000 0.0000
Be1 0.6667 0.3333 0.5000
Tl1 0.3333 0.6667 0.5000
F1 0.4063 0.0550 0.6751
```

Entry 4:
Diffraction record for Sm3Sc7Pt4. The X-ray powder pattern is computed, not measured: it uses DFT lattice parameters and positions (PBE) and a wavelength of 1.5418 Å.

Top 8 peaks for 5 to 70 degrees two-theta, in order of rising 2θ:
hkl 0 0 2, 21.30°, intensity 39
hkl 1 1 1, 24.81°, intensity 48
hkl 4 0 -3, 26.86°, intensity 35
hkl 3 1 0, 27.74°, intensity 42
hkl 1 1 2, 32.43°, intensity 100
hkl 6 0 -3, 33.14°, intensity 94
hkl 5 1 0, 38.70°, intensity 31
hkl 0 2 0, 39.15°, intensity 57

Structural model:
```
data_Sm3Sc7Pt4
_chemical_formula_sum 'Sm6 Sc14 Pt8'
_symmetry_space_group_name_H-M 'C 1 2/m 1'
_symmetry_Int_Tables_number 12
_cell_length_a 16.7593
_cell_length_b 4.6023
_cell_length_c 10.3673
_cell_angle_alpha 90.00
_cell_angle_beta 126.43
_cell_angle_gamma 90.00
loop_
_symmetry_equiv_pos_as_xyz
'x,y,z'
'-x,-y,-z'
'-x,y,-z'
'x,-y,z'
'x+1/2,y+1/2,z'
'-x+1/2,-y+1/2,-z'
'-x+1/2,y+1/2,-z'
'x+1/2,-y+1/2,z'
loop_
_atom_site_label
_atom_site_fract_x
_atom_site_fract_y
_atom_site_fract_z
Sm1 0.0000 0.0000 0.0000
Sm2 0.1882 0.5000 0.6883
Sc1 0.0000 0.0000 0.5000
Sc2 0.0087 0.5000 0.2909
Sc3 0.1649 0.0000 0.4220
Sc4 0.1947 0.5000 0.0349
Pt1 0.1070 0.0000 0.8422
Pt2 0.1659 0.5000 0.2740
```

Entry 5:
Diffraction record for Al27V. The X-ray powder pattern is computed, not measured: it uses DFT lattice parameters and positions (PBE) and a wavelength of 1.5418 Å.

Top 8 peaks for 5 to 70 degrees two-theta, in order of rising 2θ:
hkl 1 1 1, 9.14°, intensity 100
hkl 4 2 2, 26.04°, intensity 35
hkl 5 3 3, 35.11°, intensity 86
hkl 4 4 4, 37.16°, intensity 64
hkl 5 5 1, 38.35°, intensity 67
hkl 5 5 3, 41.38°, intensity 54
hkl 8 0 0, 43.18°, intensity 31
hkl 8 2 2, 45.94°, intensity 81

Structural model:
a b c (Å): 16.7613 16.7613 16.7613
angles (deg): 90.00 90.00 90.00
Space group Fd-3m (No. 227, origin choice 2)
Inequivalent atoms, fractional coordinates:
Al 0.0000 0.0000 0.0000 (multiplicity 16)
Al 0.0041 0.0041 0.6236 (multiplicity 96)
Al 0.0717 0.0717 0.8810 (multiplicity 96)
Al 0.1250 0.1250 0.1250 (multiplicity 8)
V 0.1250 0.1250 0.6250 (multiplicity 8)

Entry 6:
Diffraction record for HfH. The X-ray powder pattern is computed, not measured: it uses DFT lattice parameters and positions (PBE) and a wavelength of 1.5418 Å.

Top 8 peaks for 5 to 70 degrees two-theta, in order of rising 2θ:
hkl 1 0 1, 33.29°, intensity 100
hkl 0 0 2, 38.24°, intensity 17
hkl 1 1 0, 38.82°, intensity 33
hkl 1 1 2, 55.62°, intensity 24
hkl 2 0 0, 56.06°, intensity 12
hkl 1 0 3, 65.99°, intensity 14
hkl 2 1 1, 66.78°, intensity 27
hkl 2 0 2, 69.89°, intensity 12

Structural model:
```
data_HfH
_chemical_formula_sum 'Hf2 H2'
_symmetry_space_group_name_H-M 'I -4 m 2'
_symmetry_Int_Tables_number 119
_symmetry_space_group_name_Hall 'I -4 -2'
_cell_length_a 3.2810
_cell_length_b 3.2810
_cell_length_c 4.7077
_cell_angle_alpha 90.00
_cell_angle_beta 90.00
_cell_angle_gamma 90.00
loop_
_atom_site_label
_atom_site_fract_x
_atom_site_fract_y
_atom_site_fract_z
Hf1 0.0000 0.0000 0.0000
H1 0.0000 0.5000 0.7500
```

Entry 7:
Diffraction record for Er2In5Ni3. The X-ray powder pattern is computed, not measured: it uses DFT lattice parameters and positions (PBE) and a wavelength of 1.5418 Å.

Top 8 peaks for 5 to 70 degrees two-theta, in order of rising 2θ:
hkl 1 1 2, 32.77°, intensity 20
hkl 1 3 2, 34.21°, intensity 100
hkl 0 10 1, 36.75°, intensity 19
hkl 1 9 0, 37.40°, intensity 18
hkl 0 4 3, 40.48°, intensity 9
hkl 2 0 0, 41.75°, intensity 27
hkl 2 10 1, 56.82°, intensity 11
hkl 1 17 0, 64.57°, intensity 17

Structural model:
```
data_Er2In5Ni3
_chemical_formula_sum 'Er8 In20 Ni12'
_symmetry_space_group_name_H-M 'C m c 21'
_symmetry_Int_Tables_number 36
_cell_length_a 4.3273
_cell_length_b 26.0402
_cell_length_c 7.1144
_cell_angle_alpha 90.00
_cell_angle_beta 90.00
_cell_angle_gamma 90.00
loop_
_symmetry_equiv_pos_as_xyz
'x,y,z'
'-x,-y,z+1/2'
'-x,y,z'
'x,-y,z+1/2'
'x+1/2,y+1/2,z'
'-x+1/2,-y+1/2,z+1/2'
'-x+1/2,y+1/2,z'
'x+1/2,-y+1/2,z+1/2'
loop_
_atom_site_label
_atom_site_fract_x
_atom_site_fract_y
_atom_site_fract_z
Er1 0.0000 0.0243 0.0000
Er2 0.0000 0.3258 0.9173
In1 0.0000 0.0956 0.6223
In2 0.0000 0.2067 0.1215
In3 0.0000 0.2095 0.7103
In4 0.0000 0.3752 0.4669
In5 0.0000 0.4473 0.8304
Ni1 0.0000 0.1106 0.2434
Ni2 0.0000 0.2712 0.4137
Ni3 0.0000 0.4563 0.2217
```

Question: Which formula does entry 7 have?
Answer: Er2In5Ni3